The following is a calculated powder diffraction line list of Nd2Mg3Cd2. It was derived from a crystal structure in Alexandria, relaxed with GGA-PBE, using Cu Kα X-rays.
Lines closer than 0.1° are merged.

Largest 6 diffraction maxima, in order of rising 2θ, 10 to 90 degrees two-theta:
13.05°, rel. 100
25.19°, rel. 93
30.57°, rel. 96
30.97°, rel. 65
35.54°, rel. 67
36.37°, rel. 65

Crystal structure
a = 11.1672 Å, b = 4.9407 Å, c = 7.1232 Å
α = 90.00°, β = 107.75°, γ = 90.00°
Fractional positions:
Nd 0.1181 0.0000 0.3591
Nd 0.3819 0.5000 0.6409
Nd 0.6181 0.5000 0.3591
Nd 0.8819 0.0000 0.6409
Mg 0.0000 0.5000 0.0000
Mg 0.2003 0.0000 0.8792
Mg 0.2997 0.5000 0.1208
Mg 0.5000 0.0000 0.0000
Mg 0.7003 0.5000 0.8792
Mg 0.7997 0.0000 0.1208
Cd 0.1041 0.5000 0.6790
Cd 0.3959 0.0000 0.3210
Cd 0.6041 0.0000 0.6790
Cd 0.8959 0.5000 0.3210

The following is a calculated powder diffraction line list of NdMg15Cd4. It was derived from a crystal structure in Alexandria, relaxed with GGA-PBE, using Cu Kα X-rays.
Lines closer than 0.1° are merged.

Largest 6 diffraction maxima, in order of rising 2θ, 10 to 90 degrees two-theta:
19.09°, rel. 51
27.13°, rel. 22
28.44°, rel. 39
34.48°, rel. 100
38.75°, rel. 37
67.41°, rel. 26

Crystal structure
a = 4.6481 Å, b = 4.6481 Å, c = 21.2734 Å
α = 90.00°, β = 90.00°, γ = 90.00°
Fractional positions:
Nd 0.0000 0.0000 0.0000
Mg 0.0000 0.5000 0.1110
Mg 0.0000 0.5000 0.3040
Mg 0.0000 0.5000 0.5000
Mg 0.0000 0.5000 0.6960
Mg 0.0000 0.5000 0.8890
Mg 0.5000 0.0000 0.1110
Mg 0.5000 0.0000 0.3040
Mg 0.5000 0.0000 0.5000
Mg 0.5000 0.0000 0.6960
Mg 0.5000 0.0000 0.8890
Mg 0.5000 0.5000 0.0000
Mg 0.5000 0.5000 0.2099
Mg 0.5000 0.5000 0.4010
Mg 0.5000 0.5000 0.5990
Mg 0.5000 0.5000 0.7901
Cd 0.0000 0.0000 0.2047
Cd 0.0000 0.0000 0.4037
Cd 0.0000 0.0000 0.5963
Cd 0.0000 0.0000 0.7953

The following is a calculated powder diffraction line list of Nd5Mg2Cd. It was derived from a crystal structure in Alexandria, relaxed with GGA-PBE, using Cu Kα X-rays.
Lines closer than 0.1° are merged.

Largest 6 diffraction maxima, in order of rising 2θ, 10 to 90 degrees two-theta:
16.08°, rel. 14
32.01°, rel. 100
32.50°, rel. 48
46.62°, rel. 17
56.73°, rel. 19
57.67°, rel. 37

Crystal structure
a = 7.7930 Å, b = 7.7930 Å, c = 8.0314 Å
α = 90.00°, β = 90.00°, γ = 90.00°
Fractional positions:
Nd 0.0000 0.0000 0.0000
Nd 0.2499 0.2499 0.2504
Nd 0.2501 0.2501 0.7504
Nd 0.2499 0.7501 0.2504
Nd 0.2501 0.7499 0.7504
Nd 0.5000 0.5000 0.5000
Nd 0.7501 0.2499 0.2504
Nd 0.7499 0.2501 0.7504
Nd 0.7501 0.7501 0.2504
Nd 0.7499 0.7499 0.7504
Mg 0.0000 0.5000 0.0004
Mg 0.0000 0.5000 0.5004
Mg 0.5000 0.0000 0.0004
Mg 0.5000 0.0000 0.5004
Cd 0.0000 0.0000 0.5009
Cd 0.5000 0.5000 0.0009

The following is a calculated powder diffraction line list of Nd3Mg2Cd. It was derived from a crystal structure in Alexandria, relaxed with GGA-PBE, using Cu Kα X-rays.
Lines closer than 0.1° are merged.

Largest 6 diffraction maxima, in order of rising 2θ, 10 to 90 degrees two-theta:
22.99°, rel. 19
32.67°, rel. 100
32.78°, rel. 20
46.98°, rel. 14
58.23°, rel. 15
58.39°, rel. 30

Crystal structure
a = 5.4641 Å, b = 16.4285 Å, c = 3.8876 Å
α = 90.00°, β = 90.00°, γ = 90.00°
Fractional positions:
Nd 0.0000 0.0000 0.0000
Nd 0.0000 0.3344 0.0000
Nd 0.0000 0.6656 0.0000
Nd 0.5000 0.1656 0.0000
Nd 0.5000 0.5000 0.0000
Nd 0.5000 0.8344 0.0000
Mg 0.0000 0.1696 0.5000
Mg 0.0000 0.8304 0.5000
Mg 0.5000 0.3304 0.5000
Mg 0.5000 0.6696 0.5000
Cd 0.0000 0.5000 0.5000
Cd 0.5000 0.0000 0.5000

The following is a calculated powder diffraction line list of Nd3Mg4Cd4. It was derived from a crystal structure in Alexandria, relaxed with GGA-PBE, using Cu Kα X-rays.
Lines closer than 0.1° are merged.

Largest 6 diffraction maxima, in order of rising 2θ, 10 to 90 degrees two-theta:
22.38°, rel. 41
31.61°, rel. 69
32.38°, rel. 62
33.12°, rel. 93
35.26°, rel. 55
35.75°, rel. 100

Crystal structure
a = 3.4870 Å, b = 5.0910 Å, c = 16.1750 Å
α = 98.95°, β = 96.18°, γ = 90.02°
Fractional positions:
Nd 0.0000 0.0000 0.0000
Nd 0.1419 0.6403 0.2822
Nd 0.8581 0.3597 0.7178
Mg 0.2618 0.2628 0.5252
Mg 0.4057 0.9082 0.8146
Mg 0.5943 0.0918 0.1854
Mg 0.7382 0.7372 0.4748
Cd 0.3145 0.8158 0.6301
Cd 0.4526 0.4530 0.9054
Cd 0.5474 0.5470 0.0946
Cd 0.6855 0.1842 0.3699

The following is a calculated powder diffraction line list of Nd2Mg3Cd4. It was derived from a crystal structure in Alexandria, relaxed with GGA-PBE, using Cu Kα X-rays.
Lines closer than 0.1° are merged.

Largest 6 diffraction maxima, in order of rising 2θ, 10 to 90 degrees two-theta:
29.81°, rel. 49
31.68°, rel. 98
32.52°, rel. 71
33.04°, rel. 66
35.82°, rel. 100
37.90°, rel. 43

Crystal structure
a = 9.0868 Å, b = 9.0868 Å, c = 8.5769 Å
α = 90.00°, β = 90.00°, γ = 140.22°
Fractional positions:
Nd 0.0991 0.9009 0.8998
Nd 0.4009 0.5991 0.3998
Nd 0.5991 0.4009 0.6002
Nd 0.9009 0.0991 0.1002
Mg 0.0000 0.0000 0.5000
Mg 0.0152 0.4848 0.7500
Mg 0.4848 0.0152 0.2500
Mg 0.5000 0.5000 0.0000
Mg 0.5152 0.9848 0.7500
Mg 0.9848 0.5152 0.2500
Cd 0.1735 0.8265 0.5199
Cd 0.1847 0.3153 0.7500
Cd 0.3153 0.1847 0.2500
Cd 0.3265 0.6735 0.0199
Cd 0.6735 0.3265 0.9801
Cd 0.6847 0.8153 0.7500
Cd 0.8153 0.6847 0.2500
Cd 0.8265 0.1735 0.4801

The following is a calculated powder diffraction line list of Nd4Mg2Cd3. It was derived from a crystal structure in Alexandria, relaxed with GGA-PBE, using Cu Kα X-rays.
Lines closer than 0.1° are merged.

Largest 6 diffraction maxima, in order of rising 2θ, 10 to 90 degrees two-theta:
31.89°, rel. 82
32.65°, rel. 100
35.33°, rel. 42
36.77°, rel. 27
40.07°, rel. 22
54.48°, rel. 21

Crystal structure
a = 6.0137 Å, b = 6.0137 Å, c = 9.8084 Å
α = 109.95°, β = 109.95°, γ = 49.98°
Fractional positions:
Nd 0.0435 0.0435 0.3466
Nd 0.3456 0.3456 0.1062
Nd 0.6544 0.6544 0.8938
Nd 0.9565 0.9565 0.6534
Mg 0.2920 0.2920 0.7348
Mg 0.7080 0.7080 0.2652
Cd 0.0000 0.0000 0.0000
Cd 0.3554 0.3554 0.4405
Cd 0.6446 0.6446 0.5595

The following is a calculated powder diffraction line list of Nd6MgCd. It was derived from a crystal structure in Alexandria, relaxed with GGA-PBE, using Cu Kα X-rays.
Lines closer than 0.1° are merged.

Largest 6 diffraction maxima, in order of rising 2θ, 10 to 90 degrees two-theta:
28.01°, rel. 26
31.05°, rel. 100
31.20°, rel. 48
31.65°, rel. 51
31.87°, rel. 34
34.24°, rel. 26

Crystal structure
a = 6.3588 Å, b = 6.3678 Å, c = 6.3838 Å
α = 91.32°, β = 91.02°, γ = 91.82°
Fractional positions:
Nd 0.0247 0.2501 0.0339
Nd 0.2497 0.9694 0.4672
Nd 0.4675 0.4715 0.7499
Nd 0.5325 0.5285 0.2501
Nd 0.7503 0.0306 0.5328
Nd 0.9753 0.7499 0.9661
Mg 0.0000 0.5000 0.5000
Cd 0.5000 0.0000 0.0000